Diffraction record for Ta2Mo2O11. The PXRD pattern is simulated, not measured: it uses a DFT-relaxed cell (PBE+U, Alexandria) and Cu Kα.

Crystal structure
```
data_Ta2Mo2O11
_space_group_name_H-M_alt 'R -3 m'
_space_group_IT_number 166
_space_group_name_Hall '-R 3 2"'
_cell_length_a 5.7135
_cell_length_b 5.7135
_cell_length_c 26.7278
_cell_angle_alpha 90.00
_cell_angle_beta 90.00
_cell_angle_gamma 120.00
loop_
_atom_site_label
_atom_site_type_symbol
_atom_site_fract_x
_atom_site_fract_y
_atom_site_fract_z
_atom_site_occupancy
Ta1 Ta 0.0000 0.0000 0.1292 1
Mo1 Mo 0.0000 0.0000 0.3904 1
O1 O 0.0000 0.0000 0.3259 1
O2 O 0.0000 0.5000 0.5000 1
O3 O 0.0116 0.5058 0.7472 1
```

Most intense lines, 2θ = 15–90°, in order of rising 2θ:
2θ/deg  d (Å)  Rel. int.  index
22.36  3.976  100.0  1 0 4
31.31  2.857  33.9  1 1 0
32.33  2.769  18.2  0 1 8
45.63  1.988  15.0  2 0 8
50.69  1.801  21.2  2 1 4
52.07  1.757  10.7  1 1 12